No. 1
GdErGa2Ag2: simulated X-ray powder pattern (λ = 1.5418 Å (Cu Kα)), based on a DFT-relaxed cell (GGA-PBE, OQMD).
Neutral-atom scattering factors, no anomalous dispersion.

Largest 10 diffraction maxima, sorted by position, 10° ≤ 2θ ≤ 90°:
2theta, d (Å), I_rel
22.36, 3.976, 13
34.12, 2.628, 100
39.24, 2.296, 64
52.26, 1.750, 8
52.96, 1.729, 28
67.26, 1.392, 22
67.86, 1.381, 26
71.13, 1.325, 11
84.38, 1.148, 7
87.02, 1.120, 6

Crystal structure
```
data_GdErGa2Ag2
_chemical_formula_sum 'Gd1 Er1 Ga2 Ag2'
_cell_length_a 4.5915
_cell_length_b 4.5915
_cell_length_c 7.0019
_cell_angle_alpha 90.00
_cell_angle_beta 90.00
_cell_angle_gamma 120.00
_space_group_name_H-M_alt 'P 1'
_space_group_IT_number 1
loop_
_space_group_symop_operation_xyz
'x,y,z'
loop_
_atom_site_label
_atom_site_fract_x
_atom_site_fract_y
_atom_site_fract_z
Gd1 0.0000 0.0000 0.0000
Er1 0.0000 0.0000 0.5000
Ga1 0.3333 0.6667 0.2226
Ga2 0.3333 0.6667 0.7774
Ag1 0.6667 0.3333 0.2672
Ag2 0.6667 0.3333 0.7328
```

No. 2
HoErGa2Ag2: simulated X-ray powder pattern (λ = 1.5418 Å (Cu Kα)), based on a DFT-relaxed cell (GGA-PBE, OQMD).
Neutral-atom scattering factors, no anomalous dispersion.

Largest 10 diffraction maxima, sorted by position, 10° ≤ 2θ ≤ 90°:
2theta, d (Å), I_rel
22.42, 3.965, 14
34.30, 2.615, 100
39.36, 2.289, 64
52.63, 1.739, 8
53.18, 1.722, 28
67.66, 1.385, 21
68.13, 1.376, 27
71.36, 1.322, 11
84.68, 1.145, 7
87.70, 1.113, 6

Crystal structure
```
data_HoErGa2Ag2
_chemical_formula_sum 'Ho1 Er1 Ga2 Ag2'
_cell_length_a 4.5786
_cell_length_b 4.5786
_cell_length_c 6.9562
_cell_angle_alpha 90.00
_cell_angle_beta 90.00
_cell_angle_gamma 120.00
_space_group_name_H-M_alt 'P 1'
_space_group_IT_number 1
loop_
_space_group_symop_operation_xyz
'x,y,z'
loop_
_atom_site_label
_atom_site_fract_x
_atom_site_fract_y
_atom_site_fract_z
Ho1 0.0000 0.0000 0.0000
Er1 0.0000 0.0000 0.5000
Ga1 0.3333 0.6667 0.2156
Ga2 0.3333 0.6667 0.7844
Ag1 0.6667 0.3333 0.2614
Ag2 0.6667 0.3333 0.7386
```

No. 3
Er2Ga4AgPd: simulated X-ray powder pattern (λ = 1.5418 Å (Cu Kα)), based on a DFT-relaxed cell (GGA-PBE, OQMD).
Neutral-atom scattering factors, no anomalous dispersion.

Largest 10 diffraction maxima, sorted by position, 10° ≤ 2θ ≤ 90°:
2theta, d (Å), I_rel
26.96, 3.307, 18
34.91, 2.570, 100
35.16, 2.552, 16
35.87, 2.504, 98
37.78, 2.381, 33
40.46, 2.229, 45
43.21, 2.094, 28
44.79, 2.024, 17
56.55, 1.627, 20
80.90, 1.188, 15

Crystal structure
```
data_Er2Ga4AgPd
_chemical_formula_sum 'Er2 Ga4 Ag1 Pd1'
_cell_length_a 6.6134
_cell_length_b 5.5698
_cell_length_c 5.5698
_cell_angle_alpha 47.19
_cell_angle_beta 90.00
_cell_angle_gamma 90.00
_space_group_name_H-M_alt 'P 1'
_space_group_IT_number 1
loop_
_space_group_symop_operation_xyz
'x,y,z'
loop_
_atom_site_label
_atom_site_fract_x
_atom_site_fract_y
_atom_site_fract_z
Er1 0.0000 0.0000 0.0000
Er2 0.5000 0.1764 0.1764
Ga1 0.2029 0.7137 0.7137
Ga2 0.3051 0.4662 0.4662
Ga3 0.6949 0.4662 0.4662
Ga4 0.7971 0.7137 0.7137
Ag1 0.0000 0.2910 0.2910
Pd1 0.5000 0.8884 0.8884
```

No. 4
ErTm2Ga3AgPd2: simulated X-ray powder pattern (λ = 1.5418 Å (Cu Kα)), based on a DFT-relaxed cell (GGA-PBE, OQMD).
Neutral-atom scattering factors, no anomalous dispersion.

Largest 10 diffraction maxima, sorted by position, 10° ≤ 2θ ≤ 90°:
2theta, d (Å), I_rel
34.29, 2.615, 100
36.51, 2.461, 35
37.05, 2.427, 89
41.61, 2.170, 46
44.44, 2.039, 20
50.12, 1.820, 20
50.54, 1.806, 20
56.92, 1.618, 19
67.12, 1.395, 22
67.82, 1.382, 31

Crystal structure
```
data_ErTm2Ga3AgPd2
_chemical_formula_sum 'Er1 Tm2 Ga3 Ag1 Pd2'
_cell_length_a 3.6404
_cell_length_b 7.5198
_cell_length_c 7.5198
_cell_angle_alpha 120.04
_cell_angle_beta 90.00
_cell_angle_gamma 90.00
_space_group_name_H-M_alt 'P 1'
_space_group_IT_number 1
loop_
_space_group_symop_operation_xyz
'x,y,z'
loop_
_atom_site_label
_atom_site_fract_x
_atom_site_fract_y
_atom_site_fract_z
Er1 0.0000 0.0000 0.0000
Tm1 0.0000 0.4060 0.8119
Tm2 0.0000 0.8119 0.4060
Ga1 0.5000 0.1335 0.4063
Ga2 0.5000 0.4063 0.1335
Ga3 0.5000 0.6785 0.6785
Ag1 0.0000 0.4065 0.4065
Pd1 0.5000 0.0731 0.7385
Pd2 0.5000 0.7385 0.0731
```

No. 5
Er2TmGa3AgPd2: simulated X-ray powder pattern (λ = 1.5418 Å (Cu Kα)), based on a DFT-relaxed cell (GGA-PBE, OQMD).
Neutral-atom scattering factors, no anomalous dispersion.

Largest 10 diffraction maxima, sorted by position, 10° ≤ 2θ ≤ 90°:
2theta, d (Å), I_rel
34.23, 2.619, 100
36.52, 2.461, 35
36.99, 2.430, 92
41.62, 2.170, 45
44.39, 2.041, 20
49.94, 1.826, 21
50.55, 1.806, 21
56.89, 1.619, 20
66.97, 1.397, 22
67.79, 1.382, 31

Crystal structure
```
data_Er2TmGa3AgPd2
_chemical_formula_sum 'Er2 Tm1 Ga3 Ag1 Pd2'
_cell_length_a 3.6521
_cell_length_b 7.5159
_cell_length_c 7.5159
_cell_angle_alpha 119.96
_cell_angle_beta 90.00
_cell_angle_gamma 90.00
_space_group_name_H-M_alt 'P 1'
_space_group_IT_number 1
loop_
_space_group_symop_operation_xyz
'x,y,z'
loop_
_atom_site_label
_atom_site_fract_x
_atom_site_fract_y
_atom_site_fract_z
Er1 0.0000 0.2035 0.7965
Er2 0.0000 0.7965 0.2035
Tm1 0.0000 0.6105 0.6105
Ga1 0.5000 0.2039 0.4751
Ga2 0.5000 0.4751 0.2039
Ga3 0.5000 0.9319 0.9319
Ag1 0.0000 0.2040 0.2040
Pd1 0.5000 0.5373 0.8694
Pd2 0.5000 0.8694 0.5373
```

No. 6
SmErGa2Ag2: simulated X-ray powder pattern (λ = 1.5418 Å (Cu Kα)), based on a DFT-relaxed cell (GGA-PBE, OQMD).
Neutral-atom scattering factors, no anomalous dispersion.

Largest 10 diffraction maxima, sorted by position, 10° ≤ 2θ ≤ 90°:
2theta, d (Å), I_rel
22.28, 3.990, 12
33.82, 2.650, 100
39.10, 2.304, 64
51.56, 1.772, 8
52.64, 1.739, 28
66.56, 1.405, 22
67.49, 1.388, 26
70.84, 1.330, 11
84.02, 1.152, 7
85.75, 1.133, 6

Crystal structure
```
data_SmErGa2Ag2
_chemical_formula_sum 'Sm1 Er1 Ga2 Ag2'
_cell_length_a 4.6078
_cell_length_b 4.6078
_cell_length_c 7.0900
_cell_angle_alpha 90.00
_cell_angle_beta 90.00
_cell_angle_gamma 120.00
_space_group_name_H-M_alt 'P 1'
_space_group_IT_number 1
loop_
_space_group_symop_operation_xyz
'x,y,z'
loop_
_atom_site_label
_atom_site_fract_x
_atom_site_fract_y
_atom_site_fract_z
Sm1 0.0000 0.0000 0.0000
Er1 0.0000 0.0000 0.5000
Ga1 0.6667 0.3333 0.2253
Ga2 0.6667 0.3333 0.7747
Ag1 0.3333 0.6667 0.2698
Ag2 0.3333 0.6667 0.7302
```